This entry pairs a crystal structure of TaN with its simulated powder XRD pattern. Radiation: a wavelength of 1.5418 Å. Structure: a GGA-PBE-relaxed structure.
Lines closer than 0.1° are merged.

Principal peaks in the range 2θ = 10–90°, in order of rising 2θ:
- (1 0 0), 2θ 32.51, I = 100
- (1 1 0), 2θ 46.64, I = 99
- (1 1 1), 2θ 58.00, I = 27
- (2 0 0), 2θ 68.08, I = 16
- (2 1 0), 2θ 77.49, I = 36
- (2 1 1), 2θ 86.57, I = 34

Atomic structure:
a b c (Å): 2.7543 2.7543 2.7543
angles (deg): 90.00 90.00 90.00
Fractional coordinates of all 2 atoms:
Ta 0.0000 0.0000 0.0000
N 0.5000 0.5000 0.5000